(1)
For CuSb2, a crystal structure in Alexandria, relaxed with PBE gives the simulated X-ray diffraction stick pattern in this record (Cu Kα).

Largest 12 diffraction maxima, most intense first, 10 to 90 degrees two-theta:
2θ/deg	I/Imax
32.0	100.0
40.0	56.0
61.9	29.7
52.0	24.6
67.6	21.9
45.2	13.1
89.7	10.8
72.6	9.1
75.0	8.1
25.3	7.7
86.2	5.9
88.5	5.4

a b c (Å): 4.513 4.513 8.032
angles (deg): 90.00 90.00 120.00
Fractional coordinates of all 6 atoms:
Cu (0.333, 0.667, 0.250)
Cu (0.667, 0.333, 0.750)
Sb (0.000, 0.000, 0.000)
Sb (0.000, 0.000, 0.500)
Sb (0.333, 0.667, 0.750)
Sb (0.667, 0.333, 0.250)

---

(2)
For Cu2Sb3, a crystal structure in Alexandria, relaxed with PBE gives the simulated X-ray diffraction stick pattern in this record (Cu Kα).

Largest 12 diffraction maxima, most intense first, 10 to 90 degrees two-theta:
2θ/deg	I/Imax
30.8	100.0
44.2	45.9
44.0	38.5
54.8	18.7
73.0	15.3
60.8	13.9
64.1	11.7
81.2	11.6
57.9	8.3
81.4	7.1
78.2	6.5
35.5	5.8

a b c (Å): 6.510 6.510 6.510
angles (deg): 66.05 66.05 66.05
Fractional coordinates of all 10 atoms:
Cu (0.165, 0.165, 0.165)
Cu (0.335, 0.335, 0.335)
Cu (0.665, 0.665, 0.665)
Cu (0.835, 0.835, 0.835)
Sb (0.094, 0.750, 0.406)
Sb (0.250, 0.594, 0.906)
Sb (0.406, 0.094, 0.750)
Sb (0.594, 0.906, 0.250)
Sb (0.750, 0.406, 0.094)
Sb (0.906, 0.250, 0.594)

---

(3)
For CuSb3, a crystal structure in Alexandria, relaxed with PBE gives the simulated X-ray diffraction stick pattern in this record (Cu Kα).

Largest 12 diffraction maxima, most intense first, 10 to 90 degrees two-theta:
2θ/deg	I/Imax
36.0	100.0
28.3	88.2
44.8	34.3
34.9	31.7
28.5	24.8
45.4	23.2
45.6	19.4
35.6	18.5
71.8	17.1
64.5	16.6
38.1	16.1
60.0	14.6

a b c (Å): 3.250 11.988 5.138
angles (deg): 90.00 90.00 90.00
Fractional coordinates of all 8 atoms:
Cu (0.000, 0.000, 0.000)
Cu (0.500, 0.500, 0.500)
Sb (0.000, 0.325, 0.643)
Sb (0.000, 0.500, 0.063)
Sb (0.000, 0.675, 0.643)
Sb (0.500, 0.000, 0.563)
Sb (0.500, 0.175, 0.143)
Sb (0.500, 0.825, 0.143)

---

(4)
For CuSb2, a crystal structure in Alexandria, relaxed with PBE gives the simulated X-ray diffraction stick pattern in this record (Cu Kα).

Largest 12 diffraction maxima, most intense first, 10 to 90 degrees two-theta:
2θ/deg	I/Imax
31.1	100.0
35.1	84.3
37.8	56.1
21.1	40.4
25.5	37.7
45.0	37.5
32.9	37.0
13.4	32.8
46.7	31.7
39.6	31.4
29.3	25.3
26.9	25.2

a b c (Å): 13.907 3.131 7.331
angles (deg): 90.00 107.55 90.00
Fractional coordinates of all 12 atoms:
Cu (0.013, 0.000, 0.332)
Cu (0.487, 0.500, 0.668)
Cu (0.513, 0.500, 0.332)
Cu (0.987, 0.000, 0.668)
Sb (0.101, 0.500, 0.953)
Sb (0.155, 0.500, 0.572)
Sb (0.345, 0.000, 0.428)
Sb (0.399, 0.000, 0.047)
Sb (0.601, 0.000, 0.953)
Sb (0.655, 0.000, 0.572)
Sb (0.845, 0.500, 0.428)
Sb (0.899, 0.500, 0.047)

---

(5)
For Cu2SbSe2, a crystal structure in Alexandria, relaxed with PBE gives the simulated X-ray diffraction stick pattern in this record (Cu Kα).

Largest 12 diffraction maxima, most intense first, 10 to 90 degrees two-theta:
2θ/deg	I/Imax
30.8	100.0
46.8	55.7
37.7	52.2
37.0	38.8
30.2	34.6
49.7	32.6
11.0	28.8
47.5	28.0
50.0	16.8
61.7	16.7
33.5	16.6
27.7	13.5

a b c (Å): 6.755 3.828 8.366
angles (deg): 90.00 106.40 90.00
Fractional coordinates of all 10 atoms:
Cu (0.249, 0.000, 0.215)
Cu (0.251, 0.500, 0.785)
Cu (0.749, 0.500, 0.215)
Cu (0.751, 0.000, 0.785)
Sb (0.000, 0.500, 0.000)
Sb (0.500, 0.000, 0.000)
Se (0.039, 0.000, 0.665)
Se (0.461, 0.500, 0.335)
Se (0.539, 0.500, 0.665)
Se (0.961, 0.000, 0.335)

---

(6)
For Cu2SbSe3, a crystal structure in Alexandria, relaxed with PBE gives the simulated X-ray diffraction stick pattern in this record (Cu Kα).

Largest 12 diffraction maxima, most intense first, 10 to 90 degrees two-theta:
2θ/deg	I/Imax
27.8	100.0
25.6	80.3
44.9	72.8
46.1	25.6
49.6	24.9
40.3	19.9
53.4	18.6
53.8	15.5
73.5	10.0
84.5	9.3
62.8	9.3
33.1	7.6

a b c (Å): 14.531 6.786 14.007
angles (deg): 80.59 27.43 71.98
Fractional coordinates of all 24 atoms:
Cu (0.000, 0.000, 0.000)
Cu (0.250, 0.250, 0.250)
Cu (0.330, 0.666, 0.349)
Cu (0.490, 0.490, 0.510)
Cu (0.595, 0.901, 0.584)
Cu (0.666, 0.330, 0.655)
Cu (0.740, 0.740, 0.760)
Cu (0.901, 0.595, 0.920)
Sb (0.073, 0.465, 0.076)
Sb (0.174, 0.865, 0.177)
Sb (0.465, 0.073, 0.385)
Sb (0.865, 0.174, 0.785)
Se (0.055, 0.206, 0.802)
Se (0.105, 0.646, 0.864)
Se (0.206, 0.055, 0.938)
Se (0.312, 0.448, 0.044)
Se (0.386, 0.866, 0.145)
Se (0.448, 0.312, 0.195)
Se (0.534, 0.667, 0.306)
Se (0.646, 0.105, 0.384)
Se (0.667, 0.534, 0.493)
Se (0.757, 0.944, 0.583)
Se (0.866, 0.386, 0.604)
Se (0.944, 0.757, 0.716)